Entry 1:
The following is a computed powder diffractogram of CsNb2MoO8. It was derived from DFT lattice parameters and positions (PBE+U), using Cu Kα.

Main lines, sorted by position (2θ from 5° to 70°):
2theta, I/Imax
17.3, 31.4
20.3, 87.7
27.5, 100.0
30.2, 72.8
41.3, 33.3
46.9, 16.6
48.2, 22.9
52.0, 34.7
53.6, 32.4
69.9, 13.7

Cell and atoms:
a = 5.914 Å, b = 5.914 Å, c = 8.380 Å
α = 90.00°, β = 90.00°, γ = 120.00°
Fractional coordinates of all 12 atoms:
Cs 0.000 0.000 0.000
Nb 0.333 0.667 0.710
Nb 0.667 0.333 0.290
Mo 0.000 0.000 0.500
O 0.154 0.312 0.639
O 0.158 0.846 0.639
O 0.312 0.158 0.361
O 0.333 0.667 0.922
O 0.667 0.333 0.078
O 0.688 0.842 0.639
O 0.842 0.154 0.361
O 0.846 0.688 0.361

Entry 2:
The following is a computed powder diffractogram of CsNdMo2O8. It was derived from DFT lattice parameters and positions (PBE+U), using Cu Kα.

Main lines, sorted by position (2θ from 5° to 70°):
2theta, I/Imax
27.0, 100.0
27.8, 60.4
29.6, 32.2
33.2, 19.1
45.0, 12.1
45.6, 16.6
48.7, 13.2
49.7, 10.9
51.9, 13.5
53.7, 10.3

Cell and atoms:
a = 7.726 Å, b = 7.726 Å, c = 8.000 Å
α = 117.93°, β = 117.93°, γ = 88.69°
Fractional coordinates of all 24 atoms:
Cs 0.191 0.809 0.750
Cs 0.809 0.191 0.250
Nd 0.228 0.772 0.250
Nd 0.772 0.228 0.750
Mo 0.310 0.311 0.268
Mo 0.311 0.310 0.768
Mo 0.689 0.690 0.232
Mo 0.690 0.689 0.732
O 0.064 0.214 0.707
O 0.076 0.384 0.131
O 0.214 0.064 0.207
O 0.244 0.389 0.576
O 0.371 0.582 0.031
O 0.384 0.076 0.631
O 0.389 0.244 0.076
O 0.418 0.629 0.469
O 0.582 0.371 0.531
O 0.611 0.756 0.924
O 0.616 0.924 0.369
O 0.629 0.418 0.969
O 0.756 0.611 0.424
O 0.786 0.936 0.793
O 0.924 0.616 0.869
O 0.936 0.786 0.293

Entry 3:
The following is a computed powder diffractogram of CsNdMo2O8. It was derived from DFT lattice parameters and positions (PBE+U), using Cu Kα.

Main lines, sorted by position (2θ from 5° to 70°):
2theta, I/Imax
9.0, 34.6
25.0, 99.2
27.3, 100.0
27.9, 58.4
34.7, 17.4
43.0, 15.3
45.1, 45.4
46.3, 20.9
50.4, 27.6
56.3, 15.1

Cell and atoms:
a = 5.175 Å, b = 9.807 Å, c = 8.418 Å
α = 90.00°, β = 90.00°, γ = 90.00°
Fractional coordinates of all 24 atoms:
Cs 0.000 0.000 0.250
Cs 0.000 0.000 0.750
Nd 0.000 0.500 0.250
Nd 0.000 0.500 0.750
Mo 0.480 0.302 0.000
Mo 0.480 0.698 0.500
Mo 0.520 0.302 0.500
Mo 0.520 0.698 0.000
O 0.253 0.430 0.500
O 0.253 0.570 0.000
O 0.267 0.312 0.170
O 0.267 0.312 0.830
O 0.267 0.688 0.330
O 0.267 0.688 0.670
O 0.381 0.139 0.500
O 0.381 0.861 0.000
O 0.619 0.139 0.000
O 0.619 0.861 0.500
O 0.733 0.312 0.330
O 0.733 0.312 0.670
O 0.733 0.688 0.170
O 0.733 0.688 0.830
O 0.747 0.430 0.000
O 0.747 0.570 0.500